# KGe3Au
Simulated PXRD pattern, Cu Kα X-rays. Input: DFT lattice parameters and positions (PBE).
Intensities are scaled so that the largest is 100.

Crystal structure
Cell: 4.568 4.568 6.352 Å, 110.92 110.92 90.06°
Positions (direct):
1 K 0.000 0.000 0.000
2 Ge 0.250 0.751 0.501
3 Ge 0.388 0.388 0.776
4 Ge 0.751 0.250 0.501
5 Au 0.627 0.627 0.254

Principal peaks in the range 2θ from 10° to 90°, low angle first:
2θ/deg, I/Imax
16.17, 35
21.07, 100
31.35, 66
32.14, 46
39.45, 69
43.26, 54
45.15, 30
45.91, 30
51.20, 25
57.02, 23



# Ga2SnBr2Cl6
Simulated PXRD pattern, Cu Kα X-rays. Input: DFT lattice parameters and positions (PBE).
Intensities are scaled so that the largest is 100.

Crystal structure
Cell: 6.599 6.599 11.517 Å, 90.00 90.00 120.00°
Positions (direct):
1 Ga 0.333 0.667 0.277
2 Ga 0.667 0.333 0.723
3 Sn 0.000 0.000 0.500
4 Br 0.333 0.667 0.080
5 Br 0.667 0.333 0.920
6 Cl 0.012 0.653 0.352
7 Cl 0.347 0.359 0.352
8 Cl 0.359 0.012 0.648
9 Cl 0.641 0.988 0.352
10 Cl 0.653 0.641 0.648
11 Cl 0.988 0.347 0.648

Principal peaks in the range 2θ from 10° to 90°, low angle first:
2θ/deg, I/Imax
17.32, 100
21.91, 22
27.02, 26
28.00, 15
31.24, 14
32.28, 23
34.89, 15
42.59, 20
47.75, 20
48.18, 17



# YBi2TeO8
Simulated PXRD pattern, Cu Kα X-rays. Input: DFT lattice parameters and positions (PBE).
Intensities are scaled so that the largest is 100.

Crystal structure
Cell: 5.141 5.141 6.890 Å, 90.00 90.00 90.08°
Positions (direct):
1 Y 0.000 0.000 0.000
2 Bi 0.500 0.500 0.253
3 Bi 0.500 0.500 0.747
4 Te 0.000 0.000 0.500
5 O 0.178 0.178 0.282
6 O 0.178 0.178 0.718
7 O 0.268 0.732 0.500
8 O 0.310 0.690 0.000
9 O 0.690 0.310 0.000
10 O 0.732 0.268 0.500
11 O 0.822 0.822 0.282
12 O 0.822 0.822 0.718

Principal peaks in the range 2θ from 10° to 90°, low angle first:
2θ/deg, I/Imax
17.25, 16
24.49, 100
31.25, 88
34.90, 27
47.55, 70
50.19, 17
56.61, 18
59.38, 17
60.33, 20
71.63, 16



Please write out number 1 again, unchanged.
# KGe3Au
Simulated PXRD pattern, Cu Kα X-rays. Input: DFT lattice parameters and positions (PBE).
Intensities are scaled so that the largest is 100.

Crystal structure
Cell: 4.568 4.568 6.352 Å, 110.92 110.92 90.06°
Positions (direct):
1 K 0.000 0.000 0.000
2 Ge 0.250 0.751 0.501
3 Ge 0.388 0.388 0.776
4 Ge 0.751 0.250 0.501
5 Au 0.627 0.627 0.254

Principal peaks in the range 2θ from 10° to 90°, low angle first:
2θ/deg, I/Imax
16.17, 35
21.07, 100
31.35, 66
32.14, 46
39.45, 69
43.26, 54
45.15, 30
45.91, 30
51.20, 25
57.02, 23



Please write out number 1 again, unchanged.
# KGe3Au
Simulated PXRD pattern, Cu Kα X-rays. Input: DFT lattice parameters and positions (PBE).
Intensities are scaled so that the largest is 100.

Crystal structure
Cell: 4.568 4.568 6.352 Å, 110.92 110.92 90.06°
Positions (direct):
1 K 0.000 0.000 0.000
2 Ge 0.250 0.751 0.501
3 Ge 0.388 0.388 0.776
4 Ge 0.751 0.250 0.501
5 Au 0.627 0.627 0.254

Principal peaks in the range 2θ from 10° to 90°, low angle first:
2θ/deg, I/Imax
16.17, 35
21.07, 100
31.35, 66
32.14, 46
39.45, 69
43.26, 54
45.15, 30
45.91, 30
51.20, 25
57.02, 23



Which formula does entry 1 have?
KGe3Au



Please write out number 3 again, unchanged.
# YBi2TeO8
Simulated PXRD pattern, Cu Kα X-rays. Input: DFT lattice parameters and positions (PBE).
Intensities are scaled so that the largest is 100.

Crystal structure
Cell: 5.141 5.141 6.890 Å, 90.00 90.00 90.08°
Positions (direct):
1 Y 0.000 0.000 0.000
2 Bi 0.500 0.500 0.253
3 Bi 0.500 0.500 0.747
4 Te 0.000 0.000 0.500
5 O 0.178 0.178 0.282
6 O 0.178 0.178 0.718
7 O 0.268 0.732 0.500
8 O 0.310 0.690 0.000
9 O 0.690 0.310 0.000
10 O 0.732 0.268 0.500
11 O 0.822 0.822 0.282
12 O 0.822 0.822 0.718

Principal peaks in the range 2θ from 10° to 90°, low angle first:
2θ/deg, I/Imax
17.25, 16
24.49, 100
31.25, 88
34.90, 27
47.55, 70
50.19, 17
56.61, 18
59.38, 17
60.33, 20
71.63, 16